For KCo2O4, DFT lattice parameters and positions (GGA+U) gives the computed powder X-ray diffraction pattern in this record (Cu Kα).
Peak positions follow from Bragg's law for the DFT cell and can differ from measured ones.

Structural model:
abc: 5.7156 12.5910 4.9291
angles: 90.00 90.00 90.00
Space group Pmmn (No. 59, origin choice 2)
Inequivalent atoms, fractional coordinates:
K (0.2500, 0.2500, 0.0365)
K (0.2500, 0.7500, 0.3602)
Co (0.0000, 0.0000, 0.5000)
Co (0.2500, 0.5011, 0.9999)
O (0.0012, 0.0777, 0.8295)
O (0.2500, 0.0760, 0.3369)
O (0.2500, 0.5774, 0.6653)

Most intense lines, 2θ = 10–80°, most intense first:
h k l	2θ (°)	I/Imax
0 2 0	14.07	100.0
0 4 2	46.75	36.1
0 4 0	28.35	23.8
2 2 1	39.15	19.6
2 6 1	57.64	17.9
2 0 1	36.34	11.9
0 8 2	71.02	10.3
2 0 3	65.53	8.4
0 2 2	39.26	8.2
1 1 1	24.88	7.4